Theoretical powder diffractogram
Compound: LiFeSO4F
Radiation: copper Kα
Structure: a DFT-relaxed cell (GGA+U, the Materials Project)
Peak positions follow from Bragg's law for the DFT cell and can differ from measured ones.

The 6 most intense peaks (10 to 80 degrees two-theta), low angle first:
- 2θ 18.2, I = 47
- 2θ 25.5, I = 35
- 2θ 26.4, I = 93
- 2θ 26.7, I = 52
- 2θ 27.8, I = 100
- 2θ 35.2, I = 37

Cell and atoms:
```
16
Lattice="5.252 0.000 0.000 -0.688 5.554 0.000 -2.201 -2.485 6.617" Properties=species:S:1:pos:R:3 pbc="T T T"
Li 0.510 1.573 1.413
Li 1.853 1.496 5.204
Fe 2.626 0.000 0.000
Fe 1.526 -1.242 3.309
S -0.997 0.165 4.999
S 3.360 2.904 1.618
O -0.880 3.184 2.656
O -1.396 1.464 5.633
O -0.979 -0.907 6.038
O 0.368 0.289 4.394
O 1.995 2.780 2.224
O 3.342 3.976 0.580
O 3.760 1.605 0.984
O 3.243 -0.115 3.961
F 1.407 -0.100 1.625
F 0.956 3.170 4.993
```

=====

Theoretical powder diffractogram
Compound: LiFeSO4F
Radiation: copper Kα
Structure: a DFT-relaxed cell (GGA+U, the Materials Project)
Peak positions follow from Bragg's law for the DFT cell and can differ from measured ones.

The 6 most intense peaks (10 to 80 degrees two-theta), low angle first:
- 2θ 18.2, I = 46
- 2θ 25.6, I = 33
- 2θ 26.4, I = 89
- 2θ 26.8, I = 56
- 2θ 27.8, I = 100
- 2θ 35.3, I = 50

Cell and atoms:
```
16
Lattice="5.231 0.000 0.000 -0.671 5.547 0.000 -2.161 -2.453 6.620" Properties=species:S:1:pos:R:3 pbc="T T T"
Li 0.000 0.000 0.000
Li 0.933 3.060 3.289
Fe 1.945 0.269 5.195
Fe 3.063 1.489 1.895
S -0.773 -1.167 3.563
S 1.615 4.167 0.272
O -0.846 -0.060 2.588
O -1.060 3.105 2.875
O -1.596 1.448 5.874
O 0.278 -0.925 4.580
O 1.905 -0.076 0.898
O 1.650 3.093 1.302
O 0.799 1.823 6.242
O 3.121 -1.347 4.239
F 1.827 1.392 3.509
F 4.264 1.603 0.266
```

=====

Theoretical powder diffractogram
Compound: Rb2LiFeF6
Radiation: copper Kα
Structure: a DFT-relaxed cell (GGA+U, the Materials Project)
Peak positions follow from Bragg's law for the DFT cell and can differ from measured ones.

The 6 most intense peaks (10 to 80 degrees two-theta), low angle first:
- 2θ 22.9, I = 33
- 2θ 27.4, I = 38
- 2θ 29.8, I = 100
- 2θ 37.9, I = 45
- 2θ 40.9, I = 47
- 2θ 52.9, I = 26

Cell and atoms:
```
20
Lattice="2.998 1.731 9.758 -2.998 1.731 9.758 0.000 -3.461 9.758" Properties=species:S:1:pos:R:3 pbc="T T T"
Rb 0.000 0.000 3.736
Rb 0.000 0.000 8.283
Rb 0.000 0.000 20.990
Rb 0.000 0.000 25.537
Li 0.000 0.000 11.822
Li 0.000 0.000 17.451
Fe 0.000 0.000 0.000
Fe 0.000 0.000 14.637
F -1.338 -0.772 13.435
F 0.000 -1.829 10.878
F -1.584 0.914 10.878
F -1.584 -0.914 18.395
F 0.000 -1.545 15.838
F -1.338 0.772 15.838
F 1.338 -0.772 13.435
F 0.000 1.545 13.435
F 1.584 0.914 10.878
F 1.584 -0.914 18.395
F 0.000 1.829 18.395
F 1.338 0.772 15.838
```

=====

Please write out number 2 again, unchanged.
Theoretical powder diffractogram
Compound: LiFeSO4F
Radiation: copper Kα
Structure: a DFT-relaxed cell (GGA+U, the Materials Project)
Peak positions follow from Bragg's law for the DFT cell and can differ from measured ones.

The 6 most intense peaks (10 to 80 degrees two-theta), low angle first:
- 2θ 18.2, I = 46
- 2θ 25.6, I = 33
- 2θ 26.4, I = 89
- 2θ 26.8, I = 56
- 2θ 27.8, I = 100
- 2θ 35.3, I = 50

Cell and atoms:
```
16
Lattice="5.231 0.000 0.000 -0.671 5.547 0.000 -2.161 -2.453 6.620" Properties=species:S:1:pos:R:3 pbc="T T T"
Li 0.000 0.000 0.000
Li 0.933 3.060 3.289
Fe 1.945 0.269 5.195
Fe 3.063 1.489 1.895
S -0.773 -1.167 3.563
S 1.615 4.167 0.272
O -0.846 -0.060 2.588
O -1.060 3.105 2.875
O -1.596 1.448 5.874
O 0.278 -0.925 4.580
O 1.905 -0.076 0.898
O 1.650 3.093 1.302
O 0.799 1.823 6.242
O 3.121 -1.347 4.239
F 1.827 1.392 3.509
F 4.264 1.603 0.266
```